# NiGeF5
Theoretical powder diffractogram, Cu Kα, 1.54184 Å. Input: a structure optimized by DFT (PBE+U).
Intensities are scaled so that the largest is 100.

Unit cell a=5.117 b=5.948 c=7.243 alpha=108.28 beta=105.60 gamma=92.64
Space group P-1 (No. 2)
One atom of each set of equivalent atoms:
Ni (0.000, 0.000, 0.000)
Ni (0.500, 0.500, 0.500)
Ge (0.039, 0.460, 0.829)
F (0.158, 0.170, 0.840)
F (0.210, 0.284, 0.247)
F (0.219, 0.447, 0.643)
F (0.273, 0.719, 0.382)
F (0.276, 0.767, 0.977)

Largest 10 diffraction maxima, low angle first, 2θ from 15° to 90°:
d = 5.590 Å, rel. 100, (0 1 0); d = 4.878 Å, rel. 70, (1 0 0); d = 4.634 Å, rel. 62, (1 0 -1); d = 3.684 Å, rel. 31, (0 1 1); d = 3.452 Å, rel. 56, (1 0 1); d = 3.202 Å, rel. 27, (1 0 -2); d = 3.115 Å, rel. 44, (1 1 -2); d = 2.548 Å, rel. 45, (1 -2 1); d = 1.994 Å, rel. 27, (1 1 2); d = 1.952 Å, rel. 28, (2 1 -3)